For NaAl2SiS6, DFT lattice parameters and positions (PBE) gives the computed X-ray diffraction stick pattern in this record (Cu Kα (λ = 1.5418 Å)).

a b c (Å): 12.436 12.691 7.179
angles (deg): 90.00 117.09 90.00
Space group C2/c (No. 15)
Unique sites:
Na  0.000  0.120  0.250 (multiplicity 4)
Al  0.181  0.418  0.105 (multiplicity 8)
Si  0.000  0.180  0.750 (multiplicity 4)
S  0.097  0.255  0.044 (multiplicity 8)
S  0.117  0.074  0.688 (multiplicity 8)
S  0.123  0.454  0.363 (multiplicity 8)

Most intense lines, 2θ = 5–70°, sorted by position:
- 2θ 14.28, d = 6.205 Å, I = 29.0, (1 1 -1)
- 2θ 19.72, d = 4.503 Å, I = 100.0, (0 2 1)
- 2θ 21.30, d = 4.172 Å, I = 19.5, (2 2 0)
- 2θ 22.50, d = 3.952 Å, I = 22.7, (1 3 0)
- 2θ 22.76, d = 3.907 Å, I = 23.2, (3 1 -1)
- 2θ 25.13, d = 3.544 Å, I = 32.3, (3 1 0)
- 2θ 28.27, d = 3.157 Å, I = 28.3, (3 1 -2)
- 2θ 30.33, d = 2.947 Å, I = 43.4, (3 3 -1)
- 2θ 31.48, d = 2.842 Å, I = 25.1, (0 4 1)
- 2θ 32.35, d = 2.768 Å, I = 26.7, (4 0 0)